Record 1
# Cs2RbTl2Cd
Theoretical powder diffraction line list, λ = 1.5418 Å (Cu Kα). Input: the PBE geometry in Alexandria.

Most intense lines, 2θ from 10° to 80°, by angle:
2θ 11.00, I = 41, (1 1 0); 2θ 11.46, I = 30, (0 2 0); 2θ 18.82, I = 28, (0 0 2); 2θ 21.86, I = 15, (1 1 2); 2θ 26.71, I = 100, (2 0 2); 2θ 27.35, I = 33, (2 3 1); 2θ 29.19, I = 14, (2 2 2); 2θ 34.82, I = 24, (3 1 2); 2θ 38.15, I = 41, (0 0 4); 2θ 51.13, I = 16, (0 8 2)

Structure:
```
data_Cs2RbTl2Cd
_chemical_formula_sum 'Cs8 Rb4 Tl8 Cd4'
_symmetry_space_group_name_H-M 'I b a m'
_symmetry_Int_Tables_number 72
_symmetry_space_group_name_Hall '-I 2 2c'
_cell_length_a 9.4193
_cell_length_b 15.4437
_cell_length_c 9.4297
_cell_angle_alpha 90.00
_cell_angle_beta 90.00
_cell_angle_gamma 90.00
loop_
_atom_site_label
_atom_site_fract_x
_atom_site_fract_y
_atom_site_fract_z
Cs1 0.1632 0.2011 0.0000
Rb1 0.0000 0.5000 0.2500
Tl1 0.1792 0.0562 0.5000
Cd1 0.0000 0.0000 0.2500
```

***

Record 2
# In2Hg3Au5
Theoretical powder diffraction line list, λ = 1.5418 Å (Cu Kα). Input: the PBE geometry in Alexandria.

Most intense lines, 2θ from 10° to 80°, by angle:
2θ 30.37, I = 24, (0 2 -1); 2θ 30.57, I = 37, (0 2 3); 2θ 35.53, I = 60, (0 2 -2); 2θ 35.76, I = 79, (0 2 4); 2θ 39.10, I = 29, (0 1 -4); 2θ 39.65, I = 62, (2 0 -2); 2θ 40.52, I = 100, (2 0 4); 2θ 41.15, I = 28, (0 0 5); 2θ 41.25, I = 49, (2 -2 0); 2θ 65.38, I = 29, (4 0 2)

Structure:
```
data_In2Hg3Au5
_chemical_formula_sum 'In4 Hg6 Au10'
_symmetry_space_group_name_H-M 'P -1'
_symmetry_Int_Tables_number 2
_symmetry_space_group_name_Hall '-P 1'
_cell_length_a 5.7129
_cell_length_b 6.9480
_cell_length_c 11.7939
_cell_angle_alpha 73.02
_cell_angle_beta 76.85
_cell_angle_gamma 89.06
loop_
_atom_site_label
_atom_site_fract_x
_atom_site_fract_y
_atom_site_fract_z
In1 0.1049 0.4166 0.2862
In2 0.3930 0.2046 0.7129
Hg1 0.2162 0.8378 0.0657
Hg2 0.2515 0.0034 0.4969
Hg3 0.2811 0.4034 0.9345
Au1 0.0789 0.8257 0.8453
Au2 0.0907 0.8273 0.3208
Au3 0.2493 0.4935 0.5017
Au4 0.4111 0.6505 0.6794
Au5 0.4211 0.1661 0.1542
```

***

Record 3
# Pu2Mg
Theoretical powder diffraction line list, λ = 1.5418 Å (Cu Kα). Input: the PBE geometry in Alexandria.

Most intense lines, 2θ from 10° to 80°, by angle:
2θ 17.73, I = 100, (1 1 1); 2θ 34.33, I = 84, (3 1 1); 2θ 35.91, I = 85, (2 2 2); 2θ 41.70, I = 38, (4 0 0); 2θ 45.64, I = 28, (3 3 1); 2θ 55.08, I = 30, (5 1 1); 2θ 60.44, I = 33, (4 4 0); 2θ 63.53, I = 22, (5 3 1); 2θ 72.35, I = 35, (6 2 2); 2θ 78.91, I = 12, (7 1 1)

Structure:
Cell lengths 8.6639, 8.6639, 8.6639 Å; angles 90.00, 90.00, 90.00 degrees
Space group Fd-3m (No. 227, origin choice 2)
Unique sites:
1 Pu 0.0000 0.0000 0.0000 (multiplicity 16)
2 Mg 0.1250 0.1250 0.6250 (multiplicity 8)